Theoretical powder XRD pattern
Compound: Ba3FeRu2O9
Radiation: Cu Kα X-rays
Structure: DFT lattice parameters and positions (GGA+U)

Main lines, sorted by position (2θ from 10° to 80°):
| d [Å] | 2theta | I_rel | h k l |
| --- | --- | --- | --- |
| 3.448 | 25.84 | 15 | 1 0 3 |
| 2.902 | 30.82 | 100 | 1 1 0 |
| 2.475 | 36.30 | 6 | 1 0 5 |
| 2.369 | 37.98 | 5 | 0 0 6 |
| 2.220 | 40.64 | 11 | 2 0 3 |
| 2.052 | 44.14 | 24 | 2 0 4 |
| 1.883 | 48.33 | 10 | 1 0 7 |
| 1.675 | 54.80 | 30 | 3 0 0 |
| 1.580 | 58.43 | 7 | 2 0 7 |
| 1.451 | 64.20 | 14 | 2 2 0 |
| 1.337 | 70.40 | 5 | 2 0 9 |
| 1.298 | 72.90 | 9 | 3 1 4 |

Atomic structure:
```
data_Ba3FeRu2O9
_chemical_formula_sum 'Ba6 Fe2 Ru4 O18'
_cell_length_a 5.8028
_cell_length_b 5.8028
_cell_length_c 14.2186
_cell_angle_alpha 90.00
_cell_angle_beta 90.00
_cell_angle_gamma 120.00
_space_group_name_H-M_alt 'P 63 m c'
_space_group_IT_number 186
_space_group_name_Hall 'P 6c -2c'
loop_
_atom_site_label
_atom_site_type_symbol
_atom_site_fract_x
_atom_site_fract_y
_atom_site_fract_z
Ba1 Ba 0.0000 0.0000 0.0000
Ba2 Ba 0.3333 0.6667 0.1536
Ba3 Ba 0.3333 0.6667 0.8416
Fe1 Fe 0.3333 0.6667 0.5971
Ru1 Ru 0.0000 0.0000 0.2491
Ru2 Ru 0.3333 0.6667 0.4057
O1 O 0.0292 0.5146 0.4946
O2 O 0.1628 0.3257 0.6679
O3 O 0.1657 0.3315 0.3279
```